This entry pairs a crystal structure of Th2ScH8 with its calculated powder diffractogram. Radiation: Cu Kα (weighted mean of Kα1 and Kα2). Structure: DFT lattice parameters and positions (PBE).

Atomic structure:
```
Th2ScH8
1.0
-1.9071 2.3940 6.0222
1.9071 -2.3940 6.0222
1.9071 2.3940 -6.0222
Th Sc H
2 1 8
direct
0.1642 0.1642 0.0000 Th
0.8358 0.8358 0.0000 Th
0.5000 0.5000 0.0000 Sc
0.1259 0.3549 0.7710 H
0.2668 0.0000 0.2668 H
0.2892 0.7892 0.5000 H
0.4161 0.6451 0.7710 H
0.5839 0.3549 0.2290 H
0.7108 0.2108 0.5000 H
0.7332 0.0000 0.7332 H
0.8741 0.6451 0.2290 H
```

Top 12 peaks for 15 to 90 degrees two-theta, by angle:
2θ = 19.96°, I = 33; 2θ = 24.48°, I = 21; 2θ = 29.03°, I = 100; 2θ = 29.95°, I = 92; 2θ = 32.38°, I = 74; 2θ = 33.52°, I = 16; 2θ = 37.57°, I = 25; 2θ = 45.17°, I = 16; 2θ = 50.42°, I = 46; 2θ = 55.15°, I = 34; 2θ = 56.80°, I = 35; 2θ = 80.17°, I = 15